This entry pairs a crystal structure of CsLaS2O8 with its calculated XRD peak list. Radiation: CuKα. Structure: DFT lattice parameters and positions (PBE).
No peak broadening, texture or thermal motion is included.

```
48
Lattice="8.131 0.000 0.000 0.000 5.551 0.000 -7.515 0.000 17.399" Properties=species:S:1:pos:R:3 pbc="T T T"
Cs -2.707 1.297 6.688
Cs -6.465 1.478 15.388
Cs 7.082 4.073 2.011
Cs 3.324 4.254 10.711
La 1.294 3.817 6.330
La -2.464 4.511 15.030
La 3.080 1.041 2.369
La -0.677 1.735 11.069
S 0.531 1.311 4.424
S -3.227 1.465 13.123
S 2.666 4.133 0.372
S -1.091 4.194 9.071
S 1.708 1.357 8.328
S -2.050 1.418 17.027
S 3.843 4.087 4.276
S 0.086 4.241 12.976
O -4.062 0.296 13.530
O -0.305 2.479 4.831
O 0.576 1.190 2.939
O -3.182 1.585 11.638
O -2.093 3.120 9.353
O 1.664 5.207 0.654
O 0.013 0.059 5.029
O -3.745 2.716 13.728
O -4.593 4.016 16.309
O -0.836 4.312 7.610
O 2.158 2.818 0.871
O -1.600 5.509 9.570
O -3.293 1.031 16.297
O 0.465 1.745 7.598
O -1.816 1.187 13.591
O 1.941 1.589 4.892
O -1.324 3.963 12.507
O 2.433 4.364 3.808
O 0.152 3.807 9.802
O 3.910 4.521 1.102
O 2.217 0.043 7.829
O -1.541 2.733 16.528
O 1.453 1.240 9.789
O 5.210 1.536 1.090
O 4.361 2.835 3.671
O 0.604 5.492 12.370
O -1.047 0.345 16.745
O 2.710 2.431 8.046
O 3.798 3.966 5.761
O 0.041 4.361 14.461
O 0.922 3.072 12.568
O 4.679 5.255 3.869
```

Largest 6 diffraction maxima, in order of rising 2θ, 5° ≤ 2θ ≤ 70°:
d = 4.411 Å, intensity 19
d = 3.632 Å, intensity 100
d = 2.776 Å, intensity 13
d = 2.745 Å, intensity 31
d = 2.422 Å, intensity 18
d = 2.204 Å, intensity 17

---

This entry pairs a crystal structure of Er2MgCu2 with its calculated XRD peak list. Radiation: CuKα. Structure: DFT lattice parameters and positions (PBE).
No peak broadening, texture or thermal motion is included.

```
10
Lattice="7.642 0.000 0.000 0.000 7.642 0.000 0.000 0.000 3.582" Properties=species:S:1:pos:R:3 pbc="T T T"
Er 1.334 2.487 0.000
Er 2.487 6.308 0.000
Er 5.155 1.334 0.000
Er 6.308 5.155 0.000
Mg 0.000 0.000 1.791
Mg 3.821 3.821 1.791
Cu 0.911 4.732 1.791
Cu 2.911 0.911 1.791
Cu 4.732 6.732 1.791
Cu 6.732 2.911 1.791
```

Largest 6 diffraction maxima, in order of rising 2θ, 5° ≤ 2θ ≤ 70°:
d = 5.404 Å, intensity 22
d = 3.418 Å, intensity 22
d = 2.613 Å, intensity 28
d = 2.473 Å, intensity 100
d = 2.417 Å, intensity 24
d = 1.646 Å, intensity 19

---

This entry pairs a crystal structure of Y5Mg16Cu5 with its calculated XRD peak list. Radiation: CuKα. Structure: DFT lattice parameters and positions (PBE).
No peak broadening, texture or thermal motion is included.

```
52
Lattice="2.077 -9.546 0.000 2.077 9.546 0.000 0.000 0.000 28.893" Properties=species:S:1:pos:R:3 pbc="T T T"
Y 2.077 7.869 17.994
Y 2.077 7.869 25.345
Y 2.077 7.561 4.528
Y 2.077 7.561 9.919
Y 2.077 7.111 21.670
Y 2.077 -7.111 7.223
Y 2.077 -7.561 18.974
Y 2.077 -7.561 24.365
Y 2.077 -7.869 3.548
Y 2.077 -7.869 10.899
Mg 2.077 8.654 1.330
Mg 2.077 8.654 13.116
Mg 2.077 5.890 14.773
Mg 2.077 5.890 28.566
Mg 2.077 5.076 7.223
Mg 2.077 4.643 19.307
Mg 2.077 4.643 24.032
Mg 2.077 4.233 2.616
Mg 2.077 4.233 11.830
Mg 2.077 3.087 16.476
Mg 2.077 3.087 26.863
Mg 2.077 2.330 21.670
Mg 2.077 1.428 0.935
Mg 2.077 1.428 13.512
Mg 2.077 0.345 5.659
Mg 2.077 0.345 8.787
Mg 2.077 -0.345 20.106
Mg 2.077 -0.345 23.233
Mg 2.077 -1.428 15.381
Mg 2.077 -1.428 27.958
Mg 2.077 -2.330 7.223
Mg 2.077 -3.087 2.030
Mg 2.077 -3.087 12.416
Mg 2.077 -4.233 17.063
Mg 2.077 -4.233 26.276
Mg 2.077 -4.643 4.861
Mg 2.077 -4.643 9.586
Mg 2.077 -5.076 21.670
Mg 2.077 -5.890 0.327
Mg 2.077 -5.890 14.120
Mg 2.077 -8.654 15.776
Mg 2.077 -8.654 27.563
Cu 2.077 9.000 7.223
Cu 2.077 3.156 5.174
Cu 2.077 3.156 9.272
Cu 2.077 0.469 17.457
Cu 2.077 0.469 25.882
Cu 2.077 -0.469 3.011
Cu 2.077 -0.469 11.435
Cu 2.077 -3.156 19.620
Cu 2.077 -3.156 23.719
Cu 2.077 -9.000 21.670
```

Largest 6 diffraction maxima, in order of rising 2θ, 5° ≤ 2θ ≤ 70°:
d = 14.446 Å, intensity 100
d = 9.546 Å, intensity 41
d = 2.660 Å, intensity 69
d = 2.620 Å, intensity 55
d = 2.529 Å, intensity 56
d = 2.077 Å, intensity 38

---

This entry pairs a crystal structure of AlHO2 with its calculated XRD peak list. Radiation: CuKα. Structure: DFT lattice parameters and positions (PBE).
No peak broadening, texture or thermal motion is included.

```
8
Lattice="2.862 0.000 0.000 0.000 4.263 0.000 0.000 0.000 4.770" Properties=species:S:1:pos:R:3 pbc="T T T"
Al 0.000 0.954 0.000
Al 1.431 3.310 2.385
H 0.000 1.302 2.317
H 1.431 2.961 4.702
O 0.000 0.011 3.137
O 0.000 2.136 1.705
O 1.431 2.128 4.090
O 1.431 4.253 0.752
```

Largest 6 diffraction maxima, in order of rising 2θ, 5° ≤ 2θ ≤ 70°:
d = 3.179 Å, intensity 100
d = 2.376 Å, intensity 54
d = 2.127 Å, intensity 68
d = 2.081 Å, intensity 41
d = 1.683 Å, intensity 35
d = 1.609 Å, intensity 68

---

This entry pairs a crystal structure of ZrI3 with its calculated XRD peak list. Radiation: CuKα. Structure: DFT lattice parameters and positions (PBE).
No peak broadening, texture or thermal motion is included.

```
16
Lattice="6.660 0.000 0.000 0.000 14.088 0.000 0.000 0.000 8.125" Properties=species:S:1:pos:R:3 pbc="T T T"
Zr 0.088 3.522 2.013
Zr 3.242 3.522 2.013
Zr 3.418 10.566 6.113
Zr 6.572 10.566 6.113
I 1.665 1.413 3.232
I 1.665 3.522 7.701
I 1.665 5.631 3.232
I 1.665 8.503 7.299
I 1.665 10.566 3.729
I 1.665 12.629 7.299
I 4.995 1.459 0.826
I 4.995 3.522 4.397
I 4.995 5.585 0.826
I 4.995 8.457 4.893
I 4.995 10.566 0.425
I 4.995 12.675 4.893
```

Largest 6 diffraction maxima, in order of rising 2θ, 5° ≤ 2θ ≤ 70°:
d = 7.040 Å, intensity 61
d = 3.470 Å, intensity 100
d = 2.576 Å, intensity 34
d = 2.471 Å, intensity 14
d = 2.347 Å, intensity 30
d = 1.948 Å, intensity 19

---

This entry pairs a crystal structure of LiAl4Cd2O8 with its calculated XRD peak list. Radiation: CuKα. Structure: DFT lattice parameters and positions (PBE).
No peak broadening, texture or thermal motion is included.

```
15
Lattice="2.945 1.700 5.306 -2.945 1.700 5.306 0.000 -3.401 5.306" Properties=species:S:1:pos:R:3 pbc="T T T"
Li 0.000 0.000 0.000
Al -1.473 -0.850 5.306
Al -1.473 0.850 10.612
Al 0.000 1.700 5.306
Al 0.000 0.000 7.959
Cd 0.000 0.000 2.382
Cd 0.000 0.000 13.537
O 0.000 -1.497 6.488
O -1.297 0.749 6.488
O 0.000 0.000 4.477
O -1.297 -0.749 9.430
O 1.297 0.749 6.488
O 0.000 0.000 11.441
O 1.297 -0.749 9.430
O 0.000 1.497 9.430
```

Largest 6 diffraction maxima, in order of rising 2θ, 5° ≤ 2θ ≤ 70°:
d = 3.138 Å, intensity 51
d = 2.945 Å, intensity 65
d = 2.575 Å, intensity 100
d = 1.971 Å, intensity 28
d = 1.619 Å, intensity 24
d = 1.472 Å, intensity 32

---

This entry pairs a crystal structure of Sc11Ga10 with its calculated XRD peak list. Radiation: CuKα. Structure: DFT lattice parameters and positions (PBE).
No peak broadening, texture or thermal motion is included.

```
42
Lattice="-5.229 5.229 7.676 5.229 -5.229 7.676 5.229 5.229 -7.676" Properties=species:S:1:pos:R:3 pbc="T T T"
Sc 5.229 2.644 -2.850
Sc 3.438 0.000 1.618
Sc 7.020 0.000 1.618
Sc 0.000 0.000 2.576
Sc 5.229 -1.791 6.058
Sc 2.644 5.229 -2.850
Sc 2.584 0.000 4.826
Sc 3.395 3.395 0.000
Sc 1.834 -1.834 7.676
Sc 0.000 3.438 1.618
Sc 5.229 2.644 2.850
Sc 0.000 2.584 4.826
Sc 5.229 1.791 6.058
Sc -1.834 1.834 7.676
Sc 1.834 1.834 7.676
Sc 2.644 5.229 2.850
Sc 2.584 0.000 10.526
Sc 0.000 7.020 1.618
Sc 0.000 0.000 12.776
Sc -1.791 5.229 6.058
Sc 1.791 5.229 6.058
Sc 0.000 2.584 10.526
Ga 2.159 2.159 -2.706
Ga 3.070 -3.070 4.970
Ga 1.315 1.315 0.000
Ga 3.914 -3.914 7.676
Ga 5.229 1.390 0.000
Ga 5.229 0.000 3.838
Ga 2.159 2.159 2.706
Ga 3.070 -3.070 10.382
Ga 0.000 0.000 6.012
Ga 1.390 5.229 0.000
Ga 3.839 0.000 7.676
Ga 0.000 0.000 9.341
Ga -3.070 3.070 4.970
Ga 3.070 3.070 4.970
Ga 0.000 5.229 3.838
Ga 0.000 3.839 7.676
Ga -3.914 3.914 7.676
Ga 3.914 3.914 7.676
Ga -3.070 3.070 10.382
Ga 3.070 3.070 10.382
```

Largest 6 diffraction maxima, in order of rising 2θ, 5° ≤ 2θ ≤ 70°:
d = 2.567 Å, intensity 57
d = 2.523 Å, intensity 100
d = 2.505 Å, intensity 57
d = 2.475 Å, intensity 59
d = 2.465 Å, intensity 62
d = 2.304 Å, intensity 52